Computed powder XRD pattern
Compound: MgVFeP4O14
Radiation: λ = 1.5418 Å (Cu Kα)
Structure: the PBE+U geometry in Alexandria

Top 10 peaks for 2θ = 5–70°, low angle first:
h k l  Position (°2θ)  I/Imax
0 1 -1  16.6  679
0 1 1  18.0  929
1 0 -1  20.8  658
-1 1 1  22.4  842
0 1 -2  24.7  774
1 1 -1  27.1  822
1 0 -2  27.6  757
1 -2 0  28.3  656
1 0 2  29.7  1000
1 -2 1  30.1  444

Cell and atoms:
Cell: 5.007 6.858 8.211 Å, 93.74 92.89 105.95°
Space group P1 (No. 1)
Symmetry-distinct sites (fractional):
Mg 0.000 0.000 0.000 [1 per cell]
V 0.800 0.066 0.618 [1 per cell]
Fe 0.746 0.486 0.168 [1 per cell]
P 0.161 0.260 0.313 [1 per cell]
P 0.193 0.857 0.404 [1 per cell]
P 0.416 0.316 0.810 [1 per cell]
P 0.464 0.746 0.913 [1 per cell]
O 0.023 0.274 0.470 [1 per cell]
O 0.027 0.883 0.549 [1 per cell]
O 0.066 0.657 0.300 [1 per cell]
O 0.113 0.182 0.805 [1 per cell]
O 0.166 0.024 0.270 [1 per cell]
O 0.195 0.787 0.954 [1 per cell]
O 0.397 0.543 0.791 [1 per cell]
O 0.462 0.395 0.317 [1 per cell]
O 0.503 0.900 0.448 [1 per cell]
O 0.545 0.308 0.982 [1 per cell]
O 0.582 0.265 0.673 [1 per cell]
O 0.651 0.722 0.065 [1 per cell]
O 0.659 0.913 0.826 [1 per cell]
O 0.980 0.275 0.156 [1 per cell]